CrFe3Sb4: computed powder X-ray diffraction pattern (Cu Kα X-rays), based on a crystal structure in Alexandria, relaxed with PBE.

Unit cell a=4.0018 b=4.0018 c=10.4183 alpha=90.00 beta=90.00 gamma=120.00
Sites, in units of the cell vectors:
Cr  0.0000  0.0000  0.0000
Fe  0.0000  0.0000  0.2605
Fe  0.0000  0.0000  0.5000
Fe  0.0000  0.0000  0.7395
Sb  0.3333  0.6667  0.3776
Sb  0.3333  0.6667  0.8603
Sb  0.6667  0.3333  0.1397
Sb  0.6667  0.3333  0.6224

The 10 most intense peaks (2θ from 10° to 80°), low angle first:
2θ (°)  I/Imax  (hkl)
30.99  100  1 0 2
34.43  4  0 0 4
43.46  48  0 1 4
45.32  51  1 1 0
55.92  18  0 2 2
58.14  6  1 1 4
59.55  14  1 0 6
64.60  14  2 0 4
74.73  15  2 1 2
77.89  6  0 2 6